Structure and theoretical powder X-ray diffraction pattern of CuH4C2NCl3O (the PBE geometry in the Materials Project; a wavelength of 1.5418 Å).
Neutral-atom scattering factors, no anomalous dispersion.

Cell and atoms:
Lattice parameters (Å, degrees): 6.320 7.922 8.384 71.11 76.48 81.97
Atoms (fractional coordinates):
Cu 0.203 0.411 0.112
Cu 0.797 0.589 0.888
H 0.010 0.860 0.209
H 0.219 0.027 0.073
H 0.414 0.962 0.358
H 0.470 0.778 0.254
H 0.530 0.222 0.746
H 0.586 0.038 0.642
H 0.781 0.973 0.927
H 0.990 0.140 0.791
C 0.069 0.995 0.175
C 0.385 0.825 0.365
C 0.615 0.175 0.635
C 0.931 0.005 0.825
N 0.257 0.730 0.486
N 0.743 0.270 0.514
Cl 0.121 0.425 0.860
Cl 0.256 0.417 0.357
Cl 0.482 0.740 0.935
Cl 0.518 0.260 0.065
Cl 0.744 0.583 0.643
Cl 0.879 0.575 0.140
O 0.022 0.894 0.754
O 0.978 0.106 0.246

Top 10 peaks for 10° ≤ 2θ ≤ 90°, in order of falling intensity:
2θ (°)  Rel. int.  (hkl)
11.8  1000  0 1 0
27.1  684  1 2 0
11.4  664  0 0 1
13.7  548  0 1 1
32.3  274  2 -1 0
20.2  208  1 0 -1
33.3  195  1 2 -1
24.7  193  1 1 -1
40.6  163  -2 2 1
34.8  156  1 0 3